For Sr4CaYCu6Pb4O16, a structure optimized by DFT (GGA-PBE) gives the theoretical powder diffraction line list in this record (Cu Kα).
No peak broadening, texture or thermal motion is included.

Main lines, in order of rising 2θ (2θ = 10–90°):
23.93°, 3.718 Å, I 18; 32.37°, 2.766 Å, I 100; 33.14°, 2.703 Å, I 70; 43.81°, 2.066 Å, I 20; 47.57°, 1.911 Å, I 33; 58.72°, 1.572 Å, I 37

Crystal structure
```
data_Sr4CaYCu6Pb4O16
_space_group_name_H-M_alt 'P 1'
_space_group_IT_number 1
_cell_length_a 16.4776
_cell_length_b 16.4776
_cell_length_c 16.4776
_cell_angle_alpha 161.12
_cell_angle_beta 161.12
_cell_angle_gamma 26.83
loop_
_space_group_symop_operation_xyz
'x,y,z'
loop_
_atom_site_label
_atom_site_type_symbol
_atom_site_fract_x
_atom_site_fract_y
_atom_site_fract_z
Sr1 Sr 0.1090 0.1090 0.0000
Sr2 Sr 0.3902 0.3902 0.0000
Sr3 Sr 0.6098 0.6098 0.0000
Sr4 Sr 0.8910 0.8910 0.0000
Ca1 Ca 0.0000 0.0000 0.0000
Y1 Y 0.5000 0.5000 0.0000
Cu1 Cu 0.0532 0.5532 0.5000
Cu2 Cu 0.2499 0.2499 0.0000
Cu3 Cu 0.4468 0.9468 0.5000
Cu4 Cu 0.5532 0.0532 0.5000
Cu5 Cu 0.7501 0.7501 0.0000
Cu6 Cu 0.9468 0.4468 0.5000
Pb1 Pb 0.1937 0.6937 0.5000
Pb2 Pb 0.3063 0.8063 0.5000
Pb3 Pb 0.6937 0.1937 0.5000
Pb4 Pb 0.8063 0.3063 0.5000
O1 O 0.1258 0.6258 0.5000
O2 O 0.1919 0.1919 0.0000
O3 O 0.2074 0.2074 0.5100
O4 O 0.2074 0.6974 0.0000
O5 O 0.3026 0.3026 0.5100
O6 O 0.3026 0.7926 0.0000
O7 O 0.3079 0.3079 0.0000
O8 O 0.3742 0.8742 0.5000
O9 O 0.6258 0.1258 0.5000
O10 O 0.6921 0.6921 0.0000
O11 O 0.6974 0.2074 0.0000
O12 O 0.6974 0.6974 0.4900
O13 O 0.7926 0.3026 0.0000
O14 O 0.7926 0.7926 0.4900
O15 O 0.8081 0.8081 0.0000
O16 O 0.8742 0.3742 0.5000
```

=====

For Sr4CaYCu6Pb4O16, a structure optimized by DFT (GGA-PBE) gives the theoretical powder diffraction line list in this record (Cu Kα).
No peak broadening, texture or thermal motion is included.

Main lines, in order of rising 2θ (2θ = 10–90°):
32.25°, 2.776 Å, I 52; 32.36°, 2.766 Å, I 51; 32.55°, 2.751 Å, I 100; 32.97°, 2.717 Å, I 71; 33.13°, 2.704 Å, I 70; 47.79°, 1.903 Å, I 33

Crystal structure
```
data_Sr4CaYCu6Pb4O16
_space_group_name_H-M_alt 'P 1'
_space_group_IT_number 1
_cell_length_a 5.4092
_cell_length_b 5.4348
_cell_length_c 15.9187
_cell_angle_alpha 89.84
_cell_angle_beta 89.88
_cell_angle_gamma 89.18
loop_
_space_group_symop_operation_xyz
'x,y,z'
loop_
_atom_site_label
_atom_site_type_symbol
_atom_site_fract_x
_atom_site_fract_y
_atom_site_fract_z
Sr1 Sr 0.0013 0.0015 0.2802
Sr2 Sr 0.4992 0.4987 0.7174
Sr3 Sr 0.5008 0.5013 0.2826
Sr4 Sr 0.9987 0.9985 0.7198
Ca1 Ca 0.5000 0.5000 0.5000
Y1 Y 0.0000 0.0000 0.5000
Cu1 Cu 0.0000 0.0000 0.0000
Cu2 Cu 0.0002 0.4997 0.3946
Cu3 Cu 0.9998 0.5003 0.6054
Cu4 Cu 0.4999 0.0006 0.3948
Cu5 Cu 0.5000 0.5000 0.0000
Cu6 Cu 0.5001 0.9994 0.6052
Pb1 Pb 0.0066 0.4872 0.8879
Pb2 Pb 0.4884 0.0031 0.8878
Pb3 Pb 0.5116 0.9969 0.1122
Pb4 Pb 0.9934 0.5128 0.1121
O1 O 0.0054 0.4933 0.2488
O2 O 0.0321 0.0487 0.8850
O3 O 0.2444 0.2445 0.5948
O4 O 0.2449 0.2451 0.4070
O5 O 0.2458 0.7543 0.4037
O6 O 0.2457 0.7541 0.5959
O7 O 0.4540 0.4407 0.8860
O8 O 0.4962 0.0091 0.2487
O9 O 0.5038 0.9909 0.7513
O10 O 0.5460 0.5593 0.1140
O11 O 0.7543 0.2459 0.4041
O12 O 0.7542 0.2457 0.5963
O13 O 0.7551 0.7549 0.5930
O14 O 0.7556 0.7555 0.4052
O15 O 0.9679 0.9513 0.1150
O16 O 0.9946 0.5067 0.7512
```

=====

For Ca7CuPt2O12, a structure optimized by DFT (GGA-PBE) gives the theoretical powder diffraction line list in this record (Cu Kα).
No peak broadening, texture or thermal motion is included.

Main lines, in order of rising 2θ (2θ = 10–90°):
18.83°, 4.713 Å, I 44; 18.95°, 4.683 Å, I 100; 19.20°, 4.623 Å, I 99; 32.99°, 2.715 Å, I 66; 33.19°, 2.699 Å, I 47; 38.96°, 2.312 Å, I 45

Crystal structure
```
data_Ca7CuPt2O12
_space_group_name_H-M_alt 'P 1'
_space_group_IT_number 1
_cell_length_a 6.6043
_cell_length_b 6.6043
_cell_length_c 6.5574
_cell_angle_alpha 90.73
_cell_angle_beta 90.73
_cell_angle_gamma 91.07
loop_
_space_group_symop_operation_xyz
'x,y,z'
loop_
_atom_site_label
_atom_site_type_symbol
_atom_site_fract_x
_atom_site_fract_y
_atom_site_fract_z
Ca1 Ca 0.0000 0.0000 0.0000
Ca2 Ca 0.1432 0.4942 0.8636
Ca3 Ca 0.3687 0.0048 0.6325
Ca4 Ca 0.5058 0.8568 0.1364
Ca5 Ca 0.6409 0.3591 0.0000
Ca6 Ca 0.8475 0.1525 0.5000
Ca7 Ca 0.9952 0.6313 0.3675
Cu1 Cu 0.4419 0.5581 0.5000
Pt1 Pt 0.2634 0.2441 0.2496
Pt2 Pt 0.7559 0.7366 0.7504
O1 O 0.0515 0.8198 0.6973
O2 O 0.1802 0.9485 0.3027
O3 O 0.2300 0.3416 0.5438
O4 O 0.3049 0.1704 0.9491
O5 O 0.3475 0.5400 0.2066
O6 O 0.4600 0.6525 0.7934
O7 O 0.5563 0.1707 0.3124
O8 O 0.6584 0.7700 0.4562
O9 O 0.6928 0.0359 0.8172
O10 O 0.8293 0.4437 0.6876
O11 O 0.8296 0.6951 0.0509
O12 O 0.9641 0.3072 0.1828
```

=====

For CaCu3Ru4O12, a structure optimized by DFT (GGA-PBE) gives the theoretical powder diffraction line list in this record (Cu Kα).
No peak broadening, texture or thermal motion is included.

Main lines, in order of rising 2θ (2θ = 10–90°):
23.73°, 3.750 Å, I 12; 33.81°, 2.651 Å, I 100; 48.56°, 1.875 Å, I 24; 60.48°, 1.531 Å, I 47; 71.11°, 1.326 Å, I 12; 81.11°, 1.186 Å, I 16

Crystal structure
```
data_CaCu3Ru4O12
_space_group_name_H-M_alt 'P 1'
_space_group_IT_number 1
_cell_length_a 6.4946
_cell_length_b 6.4946
_cell_length_c 6.4946
_cell_angle_alpha 109.47
_cell_angle_beta 109.47
_cell_angle_gamma 109.47
loop_
_space_group_symop_operation_xyz
'x,y,z'
loop_
_atom_site_label
_atom_site_type_symbol
_atom_site_fract_x
_atom_site_fract_y
_atom_site_fract_z
Ca1 Ca 0.0000 0.0000 0.0000
Cu1 Cu 0.0000 0.5000 0.5000
Cu2 Cu 0.5000 0.0000 0.5000
Cu3 Cu 0.5000 0.5000 0.0000
Ru1 Ru 0.0000 0.0000 0.5000
Ru2 Ru 0.0000 0.5000 0.0000
Ru3 Ru 0.5000 0.0000 0.0000
Ru4 Ru 0.5000 0.5000 0.5000
O1 O 0.1341 0.3064 0.8277
O2 O 0.1723 0.4787 0.3064
O3 O 0.1723 0.8659 0.6936
O4 O 0.3064 0.1723 0.4787
O5 O 0.3064 0.8277 0.1341
O6 O 0.4787 0.3064 0.1723
O7 O 0.5213 0.6936 0.8277
O8 O 0.6936 0.1723 0.8659
O9 O 0.6936 0.8277 0.5213
O10 O 0.8277 0.1341 0.3064
O11 O 0.8277 0.5213 0.6936
O12 O 0.8659 0.6936 0.1723
```

=====

For Ca2CuSO2, a structure optimized by DFT (GGA-PBE) gives the theoretical powder diffraction line list in this record (Cu Kα).
No peak broadening, texture or thermal motion is included.

Main lines, in order of rising 2θ (2θ = 10–90°):
22.19°, 4.005 Å, I 59; 28.45°, 3.137 Å, I 100; 32.67°, 2.741 Å, I 60; 34.58°, 2.594 Å, I 27; 46.87°, 1.938 Å, I 41; 47.54°, 1.913 Å, I 67

Crystal structure
```
data_Ca2CuSO2
_space_group_name_H-M_alt 'P 1'
_space_group_IT_number 1
_cell_length_a 8.4669
_cell_length_b 8.4669
_cell_length_c 8.4669
_cell_angle_alpha 153.53
_cell_angle_beta 153.53
_cell_angle_gamma 37.78
loop_
_space_group_symop_operation_xyz
'x,y,z'
loop_
_atom_site_label
_atom_site_type_symbol
_atom_site_fract_x
_atom_site_fract_y
_atom_site_fract_z
Ca1 Ca 0.1831 0.1831 0.0000
Ca2 Ca 0.8169 0.8169 0.0000
Cu1 Cu 0.5000 0.5000 0.0000
S1 S 0.0000 0.0000 0.0000
O1 O 0.2500 0.7500 0.5000
O2 O 0.7500 0.2500 0.5000
```

=====

For Ca2CuSbO6, a structure optimized by DFT (GGA-PBE) gives the theoretical powder diffraction line list in this record (Cu Kα).
No peak broadening, texture or thermal motion is included.

Main lines, in order of rising 2θ (2θ = 10–90°):
19.42°, 4.570 Å, I 42; 30.77°, 2.906 Å, I 100; 31.01°, 2.884 Å, I 41; 31.75°, 2.818 Å, I 52; 34.23°, 2.620 Å, I 63; 39.44°, 2.285 Å, I 34

Crystal structure
```
data_Ca2CuSbO6
_space_group_name_H-M_alt 'P 1'
_space_group_IT_number 1
_cell_length_a 5.7808
_cell_length_b 7.5313
_cell_length_c 5.9155
_cell_angle_alpha 90.00
_cell_angle_beta 102.82
_cell_angle_gamma 90.00
loop_
_space_group_symop_operation_xyz
'x,y,z'
loop_
_atom_site_label
_atom_site_type_symbol
_atom_site_fract_x
_atom_site_fract_y
_atom_site_fract_z
Ca1 Ca 0.0288 0.2500 0.0739
Ca2 Ca 0.4480 0.7500 0.4609
Ca3 Ca 0.5520 0.2500 0.5391
Ca4 Ca 0.9712 0.7500 0.9261
Cu1 Cu 0.0000 0.0000 0.5000
Cu2 Cu 0.0000 0.5000 0.5000
Sb1 Sb 0.5000 0.0000 0.0000
Sb2 Sb 0.5000 0.5000 0.0000
O1 O 0.0759 0.7500 0.5559
O2 O 0.1611 0.0390 0.8099
O3 O 0.1611 0.4610 0.8099
O4 O 0.3599 0.0533 0.2655
O5 O 0.3599 0.4467 0.2655
O6 O 0.4024 0.7500 0.0557
O7 O 0.5976 0.2500 0.9443
O8 O 0.6401 0.5533 0.7345
O9 O 0.6401 0.9467 0.7345
O10 O 0.8389 0.5390 0.1901
O11 O 0.8389 0.9610 0.1901
O12 O 0.9241 0.2500 0.4441
```

=====

For CaCu2Sb2O8, a structure optimized by DFT (GGA-PBE) gives the theoretical powder diffraction line list in this record (Cu Kα).
No peak broadening, texture or thermal motion is included.

Main lines, in order of rising 2θ (2θ = 10–90°):
19.46°, 4.561 Å, I 60; 21.95°, 4.049 Å, I 62; 26.33°, 3.385 Å, I 64; 28.08°, 3.178 Å, I 93; 29.05°, 3.074 Å, I 100; 29.57°, 3.021 Å, I 57

Crystal structure
```
data_CaCu2Sb2O8
_space_group_name_H-M_alt 'P 1'
_space_group_IT_number 1
_cell_length_a 6.6906
_cell_length_b 9.1216
_cell_length_c 12.7231
_cell_angle_alpha 90.00
_cell_angle_beta 92.27
_cell_angle_gamma 90.00
loop_
_space_group_symop_operation_xyz
'x,y,z'
loop_
_atom_site_label
_atom_site_type_symbol
_atom_site_fract_x
_atom_site_fract_y
_atom_site_fract_z
Ca1 Ca 0.1249 0.1658 0.4651
Ca2 Ca 0.1249 0.3342 0.9651
Ca3 Ca 0.8751 0.6658 0.0349
Ca4 Ca 0.8751 0.8342 0.5349
Cu1 Cu 0.2428 0.6808 0.8489
Cu2 Cu 0.2428 0.8192 0.3489
Cu3 Cu 0.3923 0.0557 0.8710
Cu4 Cu 0.3923 0.4443 0.3710
Cu5 Cu 0.6077 0.5557 0.6290
Cu6 Cu 0.6077 0.9443 0.1290
Cu7 Cu 0.7572 0.1808 0.6511
Cu8 Cu 0.7572 0.3192 0.1511
Sb1 Sb 0.0913 0.0412 0.1610
Sb2 Sb 0.0913 0.4588 0.6610
Sb3 Sb 0.4010 0.5854 0.1424
Sb4 Sb 0.4010 0.9146 0.6424
Sb5 Sb 0.5990 0.0854 0.3576
Sb6 Sb 0.5990 0.4146 0.8576
Sb7 Sb 0.9087 0.5412 0.3390
Sb8 Sb 0.9087 0.9588 0.8390
O1 O 0.0165 0.2380 0.1232
O2 O 0.0165 0.2620 0.6232
O3 O 0.1060 0.0973 0.8901
O4 O 0.1060 0.4027 0.3901
O5 O 0.1362 0.0198 0.3098
O6 O 0.1362 0.4802 0.8098
O7 O 0.1941 0.5739 0.0361
O8 O 0.1941 0.9261 0.5361
O9 O 0.3123 0.6206 0.2854
O10 O 0.3123 0.8794 0.7854
O11 O 0.3340 0.5046 0.5942
O12 O 0.3340 0.9954 0.0942
O13 O 0.4283 0.2364 0.4041
O14 O 0.4283 0.2636 0.9041
O15 O 0.4888 0.1143 0.6445
O16 O 0.4888 0.3857 0.1445
O17 O 0.5112 0.6143 0.8555
O18 O 0.5112 0.8857 0.3555
O19 O 0.5717 0.7364 0.0959
O20 O 0.5717 0.7636 0.5959
O21 O 0.6660 0.0046 0.9058
O22 O 0.6660 0.4954 0.4058
O23 O 0.6877 0.1206 0.2146
O24 O 0.6877 0.3794 0.7146
O25 O 0.8059 0.0739 0.4639
O26 O 0.8059 0.4261 0.9639
O27 O 0.8638 0.5198 0.1902
O28 O 0.8638 0.9802 0.6902
O29 O 0.8940 0.5973 0.6099
O30 O 0.8940 0.9027 0.1099
O31 O 0.9835 0.7380 0.3768
O32 O 0.9835 0.7620 0.8768
```